1.
Structure and calculated powder X-ray diffraction pattern of MnOF (a DFT-relaxed cell (GGA+U, the Materials Project); Cu Ka).
Intensities are scaled so that the largest is 1000.

Most intense lines, 2θ from 10° to 90°, sorted by position:
2θ (°)  Rel. int.
25.22  1000
27.82  788
34.70  438
34.81  464
51.01  304
66.77  309

```
data_MnOF
_space_group_name_H-M_alt 'P 1'
_space_group_IT_number 1
_cell_length_a 4.7974
_cell_length_b 3.0751
_cell_length_c 18.9770
_cell_angle_alpha 90.00
_cell_angle_beta 95.52
_cell_angle_gamma 90.00
loop_
_space_group_symop_operation_xyz
'x,y,z'
loop_
_atom_site_label
_atom_site_type_symbol
_atom_site_fract_x
_atom_site_fract_y
_atom_site_fract_z
Mn1 Mn 0.0000 0.0000 0.0000
Mn2 Mn 0.0000 0.0000 0.5000
Mn3 Mn 0.0522 0.0000 0.2508
Mn4 Mn 0.4093 0.5000 0.8765
Mn5 Mn 0.4775 0.5000 0.6242
Mn6 Mn 0.5225 0.5000 0.3758
Mn7 Mn 0.5907 0.5000 0.1235
Mn8 Mn 0.9478 0.0000 0.7492
O1 O 0.1380 0.5000 0.7983
O2 O 0.1865 0.5000 0.5491
O3 O 0.2319 0.5000 0.3005
O4 O 0.2566 0.0000 0.9230
O5 O 0.7434 0.0000 0.0770
O6 O 0.7681 0.5000 0.6995
O7 O 0.8135 0.5000 0.4509
O8 O 0.8620 0.5000 0.2017
F1 F 0.2391 0.5000 0.0495
F2 F 0.2867 0.0000 0.6724
F3 F 0.3276 0.0000 0.4225
F4 F 0.3770 0.0000 0.1681
F5 F 0.6230 0.0000 0.8319
F6 F 0.6724 0.0000 0.5775
F7 F 0.7133 0.0000 0.3276
F8 F 0.7609 0.5000 0.9505
```

***

2.
Structure and calculated powder X-ray diffraction pattern of FeH8Br2O4 (a DFT-relaxed cell (GGA+U, the Materials Project); Cu Ka).
Intensities are scaled so that the largest is 1000.

Most intense lines, 2θ from 10° to 90°, sorted by position:
2θ (°)  Rel. int.
19.37  922
21.65  1000
24.61  909
28.04  894
39.08  469
39.32  588

```
data_FeH8Br2O4
_space_group_name_H-M_alt 'P 1'
_space_group_IT_number 1
_cell_length_a 6.1390
_cell_length_b 7.6529
_cell_length_c 8.7939
_cell_angle_alpha 90.00
_cell_angle_beta 111.22
_cell_angle_gamma 90.00
loop_
_space_group_symop_operation_xyz
'x,y,z'
loop_
_atom_site_label
_atom_site_type_symbol
_atom_site_fract_x
_atom_site_fract_y
_atom_site_fract_z
Fe1 Fe 0.0000 0.0000 0.0000
Fe2 Fe 0.0000 0.5000 0.5000
H1 H 0.0911 0.0745 0.7123
H2 H 0.0911 0.4255 0.2123
H3 H 0.1087 0.0680 0.3367
H4 H 0.1087 0.4320 0.8367
H5 H 0.3671 0.7059 0.4953
H6 H 0.3671 0.7941 0.9953
H7 H 0.3774 0.7007 0.6755
H8 H 0.3774 0.7993 0.1755
H9 H 0.6226 0.2007 0.8245
H10 H 0.6226 0.2993 0.3245
H11 H 0.6329 0.2059 0.0047
H12 H 0.6329 0.2941 0.5047
H13 H 0.8913 0.5680 0.1633
H14 H 0.8913 0.9320 0.6633
H15 H 0.9089 0.5745 0.7877
H16 H 0.9089 0.9255 0.2877
Br1 Br 0.3115 0.2296 0.5789
Br2 Br 0.3115 0.2704 0.0789
Br3 Br 0.6885 0.7296 0.9211
Br4 Br 0.6885 0.7704 0.4211
O1 O 0.0093 0.5047 0.7451
O2 O 0.0093 0.9953 0.2451
O3 O 0.2681 0.6899 0.5613
O4 O 0.2681 0.8101 0.0613
O5 O 0.7319 0.1899 0.9387
O6 O 0.7319 0.3101 0.4387
O7 O 0.9907 0.0047 0.7549
O8 O 0.9907 0.4953 0.2549
```

***

3.
Structure and calculated powder X-ray diffraction pattern of LiMn5O8 (a DFT-relaxed cell (GGA+U, the Materials Project); Cu Ka).
Intensities are scaled so that the largest is 1000.

Most intense lines, 2θ from 10° to 90°, sorted by position:
2θ (°)  Rel. int.
23.34  183
29.64  399
34.91  1000
42.42  175
56.07  384
61.55  474

```
data_LiMn5O8
_space_group_name_H-M_alt 'P 1'
_space_group_IT_number 1
_cell_length_a 8.5234
_cell_length_b 8.5234
_cell_length_c 8.5234
_cell_angle_alpha 90.00
_cell_angle_beta 90.00
_cell_angle_gamma 90.00
loop_
_space_group_symop_operation_xyz
'x,y,z'
loop_
_atom_site_label
_atom_site_type_symbol
_atom_site_fract_x
_atom_site_fract_y
_atom_site_fract_z
Li1 Li 0.1250 0.1250 0.1250
Li2 Li 0.3750 0.8750 0.6250
Li3 Li 0.6250 0.3750 0.8750
Li4 Li 0.8750 0.6250 0.3750
Mn1 Mn 0.0010 0.9990 0.4990
Mn2 Mn 0.1234 0.3750 0.3734
Mn3 Mn 0.1250 0.6266 0.6234
Mn4 Mn 0.1266 0.8766 0.8750
Mn5 Mn 0.2490 0.7510 0.2510
Mn6 Mn 0.2510 0.2490 0.7510
Mn7 Mn 0.3734 0.1234 0.3750
Mn8 Mn 0.3750 0.3734 0.1234
Mn9 Mn 0.3766 0.6250 0.8734
Mn10 Mn 0.4990 0.0010 0.9990
Mn11 Mn 0.5010 0.5010 0.5010
Mn12 Mn 0.6234 0.1250 0.6266
Mn13 Mn 0.6250 0.8734 0.3766
Mn14 Mn 0.6266 0.6234 0.1250
Mn15 Mn 0.7490 0.7490 0.7490
Mn16 Mn 0.7510 0.2510 0.2490
Mn17 Mn 0.8734 0.3766 0.6250
Mn18 Mn 0.8750 0.1266 0.8766
Mn19 Mn 0.8766 0.8750 0.1266
Mn20 Mn 0.9990 0.4990 0.0010
O1 O 0.1051 0.8738 0.1090
O2 O 0.1090 0.1051 0.8738
O3 O 0.1117 0.3883 0.6117
O4 O 0.1238 0.8551 0.6410
O5 O 0.1262 0.6090 0.3949
O6 O 0.1383 0.6383 0.8617
O7 O 0.1410 0.3762 0.1449
O8 O 0.1449 0.1410 0.3762
O9 O 0.3551 0.8590 0.8762
O10 O 0.3590 0.6238 0.6449
O11 O 0.3617 0.3617 0.3617
O12 O 0.3738 0.3910 0.8949
O13 O 0.3762 0.1449 0.1410
O14 O 0.3883 0.6117 0.1117
O15 O 0.3910 0.8949 0.3738
O16 O 0.3949 0.1262 0.6090
O17 O 0.6051 0.6262 0.8910
O18 O 0.6090 0.3949 0.1262
O19 O 0.6117 0.1117 0.3883
O20 O 0.6238 0.6449 0.3590
O21 O 0.6262 0.8910 0.6051
O22 O 0.6383 0.8617 0.1383
O23 O 0.6410 0.1238 0.8551
O24 O 0.6449 0.3590 0.6238
O25 O 0.8551 0.6410 0.1238
O26 O 0.8590 0.8762 0.3551
O27 O 0.8617 0.1383 0.6383
O28 O 0.8738 0.1090 0.1051
O29 O 0.8762 0.3551 0.8590
O30 O 0.8883 0.8883 0.8883
O31 O 0.8910 0.6051 0.6262
O32 O 0.8949 0.3738 0.3910
```

***

4.
Structure and calculated powder X-ray diffraction pattern of Ni2P2C6O9 (a DFT-relaxed cell (GGA+U, the Materials Project); Cu Ka).
Intensities are scaled so that the largest is 1000.

Most intense lines, 2θ from 10° to 90°, sorted by position:
2θ (°)  Rel. int.
17.20  1000
19.89  749
22.26  349
30.02  552
33.28  440
44.21  354

```
data_Ni2P2C6O9
_space_group_name_H-M_alt 'P 1'
_space_group_IT_number 1
_cell_length_a 8.9297
_cell_length_b 8.9297
_cell_length_c 8.9297
_cell_angle_alpha 90.00
_cell_angle_beta 90.00
_cell_angle_gamma 90.00
loop_
_space_group_symop_operation_xyz
'x,y,z'
loop_
_atom_site_label
_atom_site_type_symbol
_atom_site_fract_x
_atom_site_fract_y
_atom_site_fract_z
Ni1 Ni 0.2431 0.2431 0.7569
Ni2 Ni 0.2431 0.7569 0.2431
Ni3 Ni 0.7569 0.2431 0.2431
Ni4 Ni 0.7569 0.7569 0.7569
P1 P 0.3835 0.3835 0.6165
P2 P 0.3835 0.6165 0.3835
P3 P 0.6165 0.3835 0.3835
P4 P 0.6165 0.6165 0.6165
C1 C 0.0510 0.2845 0.7155
C2 C 0.0510 0.7155 0.2845
C3 C 0.2845 0.0510 0.7155
C4 C 0.2845 0.2845 0.9490
C5 C 0.2845 0.7155 0.0510
C6 C 0.2845 0.9490 0.2845
C7 C 0.7155 0.0510 0.2845
C8 C 0.7155 0.2845 0.0510
C9 C 0.7155 0.7155 0.9490
C10 C 0.7155 0.9490 0.7155
C11 C 0.9490 0.2845 0.2845
C12 C 0.9490 0.7155 0.7155
O1 O 0.0732 0.3094 0.3094
O2 O 0.0732 0.6906 0.6906
O3 O 0.2983 0.5000 0.5000
O4 O 0.3094 0.0732 0.3094
O5 O 0.3094 0.3094 0.0732
O6 O 0.3094 0.6906 0.9268
O7 O 0.3094 0.9268 0.6906
O8 O 0.5000 0.2983 0.5000
O9 O 0.5000 0.5000 0.2983
O10 O 0.5000 0.5000 0.7017
O11 O 0.5000 0.7017 0.5000
O12 O 0.6906 0.0732 0.6906
O13 O 0.6906 0.3094 0.9268
O14 O 0.6906 0.6906 0.0732
O15 O 0.6906 0.9268 0.3094
O16 O 0.7017 0.5000 0.5000
O17 O 0.9268 0.3094 0.6906
O18 O 0.9268 0.6906 0.3094
```

***

5.
Structure and calculated powder X-ray diffraction pattern of KSmMo2O8 (a DFT-relaxed cell (GGA+U, the Materials Project); Cu Ka).
Intensities are scaled so that the largest is 1000.

Most intense lines, 2θ from 10° to 90°, sorted by position:
2θ (°)  Rel. int.
27.63  1000
29.86  141
33.04  190
45.13  293
51.65  162
55.77  264

```
data_KSmMo2O8
_space_group_name_H-M_alt 'P 1'
_space_group_IT_number 1
_cell_length_a 7.1070
_cell_length_b 7.1070
_cell_length_c 7.1070
_cell_angle_alpha 135.15
_cell_angle_beta 135.15
_cell_angle_gamma 65.30
loop_
_space_group_symop_operation_xyz
'x,y,z'
loop_
_atom_site_label
_atom_site_type_symbol
_atom_site_fract_x
_atom_site_fract_y
_atom_site_fract_z
K1 K 0.0000 0.0000 0.0000
Sm1 Sm 0.2500 0.7500 0.5000
Mo1 Mo 0.5000 0.5000 0.0000
Mo2 Mo 0.7500 0.2500 0.5000
O1 O 0.2899 0.1722 0.6344
O2 O 0.3445 0.7101 0.8823
O3 O 0.4381 0.3353 0.4254
O4 O 0.5377 0.6555 0.3656
O5 O 0.6647 0.0901 0.1028
O6 O 0.8278 0.4623 0.1177
O7 O 0.9099 0.0127 0.5746
O8 O 0.9873 0.5619 0.8972
```

***

6.
Structure and calculated powder X-ray diffraction pattern of Ni4Bi9O18 (a DFT-relaxed cell (GGA+U, the Materials Project); Cu Ka).
Intensities are scaled so that the largest is 1000.

Most intense lines, 2θ from 10° to 90°, sorted by position:
2θ (°)  Rel. int.
27.20  1000
28.05  700
28.53  857
29.04  624
29.22  843
32.12  603

```
data_Ni4Bi9O18
_space_group_name_H-M_alt 'P 1'
_space_group_IT_number 1
_cell_length_a 8.4528
_cell_length_b 8.5087
_cell_length_c 8.6994
_cell_angle_alpha 110.74
_cell_angle_beta 109.57
_cell_angle_gamma 104.77
loop_
_space_group_symop_operation_xyz
'x,y,z'
loop_
_atom_site_label
_atom_site_type_symbol
_atom_site_fract_x
_atom_site_fract_y
_atom_site_fract_z
Ni1 Ni 0.0000 0.0000 0.0000
Ni2 Ni 0.0896 0.1639 0.6915
Ni3 Ni 0.5752 0.9594 0.3573
Ni4 Ni 0.7841 0.6766 0.4600
Bi1 Bi 0.1411 0.8708 0.3725
Bi2 Bi 0.1470 0.6775 0.8648
Bi3 Bi 0.3174 0.5071 0.1867
Bi4 Bi 0.4504 0.3168 0.5163
Bi5 Bi 0.4761 0.1572 0.0693
Bi6 Bi 0.5053 0.8508 0.6693
Bi7 Bi 0.6620 0.7218 0.0134
Bi8 Bi 0.8267 0.3202 0.8733
Bi9 Bi 0.9872 0.3628 0.3434
O1 O 0.0127 0.1580 0.8882
O2 O 0.1767 0.4301 0.8239
O3 O 0.2018 0.1724 0.5119
O4 O 0.2645 0.1340 0.1768
O5 O 0.3034 0.5227 0.4618
O6 O 0.3187 0.7679 0.1729
O7 O 0.4093 0.8117 0.8817
O8 O 0.5454 0.1012 0.5697
O9 O 0.5890 0.4613 0.2241
O10 O 0.5910 0.7671 0.4388
O11 O 0.5998 0.4479 0.8358
O12 O 0.6632 0.1452 0.2892
O13 O 0.6891 0.1467 0.9557
O14 O 0.7313 0.8045 0.8222
O15 O 0.9611 0.5736 0.5416
O16 O 0.9609 0.9032 0.5033
O17 O 0.9643 0.8412 0.1140
O18 O 0.9947 0.5133 0.1854
```